This entry pairs a crystal structure of Zr2AlCo5B2 with its calculated X-ray powder pattern. Radiation: Cu Kα (weighted mean of Kα1 and Kα2). Structure: a GGA-PBE-relaxed structure.
Intensities are scaled so that the largest is 100.

Structure:
Unit cell a=8.704 b=8.704 c=3.087 alpha=90.00 beta=90.00 gamma=90.00
Element x y z (fractional)
Zr 0.177 0.323 0.000
Zr 0.323 0.823 0.000
Zr 0.677 0.177 0.000
Zr 0.823 0.677 0.000
Al 0.000 0.000 0.000
Al 0.500 0.500 0.000
Co 0.000 0.500 0.500
Co 0.068 0.776 0.500
Co 0.224 0.068 0.500
Co 0.276 0.568 0.500
Co 0.432 0.276 0.500
Co 0.500 0.000 0.500
Co 0.568 0.724 0.500
Co 0.724 0.432 0.500
Co 0.776 0.932 0.500
Co 0.932 0.224 0.500
B 0.119 0.619 0.000
B 0.381 0.119 0.000
B 0.619 0.881 0.000
B 0.881 0.381 0.000

Principal peaks in the range 15° ≤ 2θ ≤ 90°, by angle:
h k l  2θ (°)  I (rel.)
2 0 1  35.66  16
2 1 1  37.18  100
2 2 1  41.44  36
4 1 0  42.84  78
3 3 0  44.10  94
4 2 0  46.67  24
3 2 1  47.83  29
4 0 1  51.38  14
0 0 2  59.94  20
6 0 1  71.91  15
4 1 2  76.45  25
5 4 1  76.59  18